Record 1
Na3Sm3GaO8: computed powder diffractogram (a wavelength of 1.5418 Å), based on a cell relaxed with PBE.
Kinematic intensities with the Lorentz-polarization factor, no thermal factor.

Peak list (10 most intense, 5° ≤ 2θ ≤ 70°, by angle)
16.0°, rel. 100; 30.4°, rel. 50; 31.9°, rel. 51; 32.3°, rel. 18; 37.1°, rel. 79; 40.6°, rel. 18; 49.0°, rel. 19; 53.2°, rel. 26; 53.8°, rel. 24; 55.9°, rel. 22

```
15
Lattice="3.446 1.990 5.538 -3.446 1.990 5.538 0.000 -3.979 5.538" Properties=species:S:1:pos:R:3 pbc="T T T"
Na -1.723 -0.995 5.538
Na -1.723 0.995 11.076
Na 0.000 1.990 5.538
Sm -3.446 0.000 8.307
Sm -1.723 0.995 2.769
Sm 1.723 0.995 2.769
Ga 0.000 0.000 8.307
O 0.000 0.000 3.960
O -1.537 -0.888 9.408
O 0.000 -1.775 7.207
O -1.537 0.888 7.207
O 1.537 -0.888 9.408
O 0.000 1.775 9.408
O 1.537 0.888 7.207
O 0.000 0.000 12.654
```



Record 2
Na2Ga2SnO6: computed powder diffractogram (a wavelength of 1.5418 Å), based on a cell relaxed with PBE.
Kinematic intensities with the Lorentz-polarization factor, no thermal factor.

Peak list (10 most intense, 5° ≤ 2θ ≤ 70°, by angle)
15.5°, rel. 100; 25.0°, rel. 14; 31.3°, rel. 16; 34.0°, rel. 47; 37.6°, rel. 47; 42.6°, rel. 4; 46.9°, rel. 66; 59.9°, rel. 17; 60.8°, rel. 19; 63.2°, rel. 14

```
11
Lattice="5.274 0.000 0.000 -2.637 4.567 0.000 0.000 0.000 5.716" Properties=species:S:1:pos:R:3 pbc="T T T"
Na 0.000 3.045 0.000
Na 2.637 1.522 0.000
Ga 0.000 3.045 2.858
Ga 2.637 1.522 2.858
Sn 0.000 0.000 2.858
O -0.909 1.575 3.938
O -1.728 2.993 1.778
O 1.818 0.000 3.938
O 0.909 1.575 1.778
O 3.456 0.000 1.778
O 1.728 2.993 3.938
```